Computed XRD peak list
Compound: Mn5Be2GeW2
Radiation: Cu Kα, 1.54184 Å
Structure: a cell relaxed with PBE
Intensities are scaled so that the largest is 100.

Top 10 peaks for 2θ = 10–80°, by angle:
- 2θ 22.91, I = 61.5, hkl 2 1 0
- 2θ 37.36, I = 96.2, hkl 2 1 1
- 2θ 41.63, I = 25.1, hkl 2 2 1
- 2θ 42.96, I = 63.1, hkl 4 1 0
- 2θ 44.28, I = 100.0, hkl 3 3 0
- 2θ 46.80, I = 16.1, hkl 4 2 0
- 2θ 60.35, I = 16.7, hkl 0 0 2
- 2θ 65.41, I = 18.4, hkl 5 2 1
- 2θ 70.28, I = 15.8, hkl 5 3 1
- 2θ 76.89, I = 37.2, hkl 4 1 2

Cell and atoms:
```
Mn5Be2GeW2
1.0
8.681 0.000 0.000
0.000 8.681 0.000
0.000 0.000 3.067
Mn Be Ge W
10 4 2 4
Direct
0.000 0.500 0.000 Mn
0.067 0.211 0.000 Mn
0.211 0.933 0.000 Mn
0.289 0.433 0.000 Mn
0.433 0.711 0.000 Mn
0.500 0.000 0.000 Mn
0.567 0.289 0.000 Mn
0.711 0.567 0.000 Mn
0.789 0.067 0.000 Mn
0.933 0.789 0.000 Mn
0.123 0.377 0.500 Be
0.377 0.877 0.500 Be
0.623 0.123 0.500 Be
0.877 0.623 0.500 Be
0.000 0.000 0.500 Ge
0.500 0.500 0.500 Ge
0.173 0.673 0.500 W
0.327 0.173 0.500 W
0.673 0.827 0.500 W
0.827 0.327 0.500 W
```

Computed XRD peak list
Compound: Be8GeN6
Radiation: Cu Kα, 1.54184 Å
Structure: a cell relaxed with PBE
Intensities are scaled so that the largest is 100.

Top 10 peaks for 2θ = 10–80°, by angle:
- 2θ 17.69, I = 57.8, hkl 0 0 2
- 2θ 19.41, I = 73.0, hkl 1 0 0
- 2θ 26.38, I = 100.0, hkl 1 0 2
- 2θ 33.95, I = 59.3, hkl 1 1 0
- 2θ 39.40, I = 47.9, hkl 2 0 0
- 2θ 41.07, I = 48.8, hkl 1 0 4
- 2θ 43.50, I = 58.3, hkl 2 0 2
- 2θ 50.19, I = 34.8, hkl 1 1 4
- 2θ 56.30, I = 29.6, hkl 2 1 2
- 2θ 60.75, I = 26.6, hkl 3 0 0

Cell and atoms:
```
Be8GeN6
1.0
5.281 0.000 0.000
-2.640 4.573 0.000
0.000 0.000 10.025
Be Ge N
16 2 12
Direct
0.000 0.316 0.000 Be
0.000 0.432 0.321 Be
0.000 0.568 0.821 Be
0.000 0.684 0.500 Be
0.316 0.000 0.000 Be
0.316 0.316 0.500 Be
0.333 0.667 0.135 Be
0.333 0.667 0.635 Be
0.432 0.000 0.321 Be
0.432 0.432 0.821 Be
0.568 0.000 0.821 Be
0.568 0.568 0.321 Be
0.667 0.333 0.135 Be
0.667 0.333 0.635 Be
0.684 0.000 0.500 Be
0.684 0.684 0.000 Be
0.000 0.000 0.196 Ge
0.000 0.000 0.696 Ge
0.000 0.000 0.497 N
0.000 0.000 0.997 N
0.000 0.411 0.159 N
0.000 0.589 0.659 N
0.333 0.667 0.409 N
0.333 0.667 0.909 N
0.411 0.000 0.159 N
0.411 0.411 0.659 N
0.589 0.000 0.659 N
0.589 0.589 0.159 N
0.667 0.333 0.409 N
0.667 0.333 0.909 N
```

Computed XRD peak list
Compound: Nd2Be4Ge3Pd
Radiation: Cu Kα, 1.54184 Å
Structure: a cell relaxed with PBE
Intensities are scaled so that the largest is 100.

Top 10 peaks for 2θ = 10–80°, by angle:
- 2θ 23.88, I = 35.0, hkl 1 0 1
- 2θ 26.97, I = 20.6, hkl 0 0 3
- 2θ 32.77, I = 40.1, hkl 1 1 1
- 2θ 35.15, I = 67.7, hkl 1 0 3
- 2θ 36.43, I = 100.0, hkl 1 1 2
- 2θ 45.10, I = 46.1, hkl 2 0 0
- 2θ 51.37, I = 26.9, hkl 1 0 5
- 2θ 58.43, I = 30.9, hkl 2 1 3
- 2θ 70.72, I = 20.5, hkl 2 1 5
- 2θ 77.51, I = 21.8, hkl 3 1 2

Cell and atoms:
```
Nd2Be4Ge3Pd
1.0
4.020 0.000 0.000
0.000 4.020 0.000
0.000 0.000 9.917
Nd Be Ge Pd
2 4 3 1
Direct
0.000 0.500 0.246 Nd
0.500 0.000 0.754 Nd
0.000 0.000 0.000 Be
0.000 0.500 0.629 Be
0.500 0.000 0.371 Be
0.500 0.500 0.000 Be
0.000 0.500 0.868 Ge
0.500 0.000 0.132 Ge
0.500 0.500 0.500 Ge
0.000 0.000 0.500 Pd
```

Computed XRD peak list
Compound: NdBe2GePd2
Radiation: Cu Kα, 1.54184 Å
Structure: a cell relaxed with PBE
Intensities are scaled so that the largest is 100.

Top 10 peaks for 2θ = 10–80°, by angle:
- 2θ 26.23, I = 7.0, hkl 1 0 1
- 2θ 30.05, I = 88.0, hkl 1 1 0
- 2θ 37.84, I = 100.0, hkl 1 0 2
- 2θ 43.02, I = 36.6, hkl 2 0 0
- 2θ 58.61, I = 55.0, hkl 2 1 2
- 2θ 62.47, I = 11.9, hkl 2 2 0
- 2θ 64.68, I = 5.7, hkl 0 0 4
- 2θ 70.86, I = 14.6, hkl 3 1 0
- 2θ 72.95, I = 14.4, hkl 1 1 4
- 2θ 75.41, I = 12.9, hkl 3 0 2

Cell and atoms:
```
NdBe2GePd2
1.0
4.205 0.000 0.000
0.000 4.205 0.000
0.000 0.000 5.765
Nd Be Ge Pd
1 2 1 2
Direct
0.000 0.000 0.000 Nd
0.000 0.500 0.500 Be
0.500 0.000 0.500 Be
0.000 0.000 0.500 Ge
0.500 0.500 0.252 Pd
0.500 0.500 0.748 Pd
```